# 1
Structure and computed powder XRD pattern of BaMg14VO16 (DFT lattice parameters and positions (PBE+U); Cu Kα, 1.54184 Å).
Intensities are scaled so that the largest is 100.

Structure:
```
data_BaMg14VO16
_cell_length_a 8.754
_cell_length_b 8.754
_cell_length_c 4.502
_cell_angle_alpha 90.00
_cell_angle_beta 90.00
_cell_angle_gamma 90.00
_symmetry_space_group_name_H-M 'P 4/m m m'
_symmetry_Int_Tables_number 123
_symmetry_space_group_name_Hall '-P 4 2'
loop_
_atom_site_label
_atom_site_fract_x
_atom_site_fract_y
_atom_site_fract_z
Ba1 0.000 0.000 0.000
Mg1 0.000 0.265 0.500
Mg2 0.000 0.500 0.000
Mg3 0.251 0.500 0.500
Mg4 0.258 0.258 0.000
V1 0.500 0.500 0.000
O1 0.000 0.000 0.500
O2 0.000 0.280 0.000
O3 0.000 0.500 0.500
O4 0.251 0.251 0.500
O5 0.251 0.500 0.000
O6 0.500 0.500 0.500
```

Principal peaks in the range 10° ≤ 2θ ≤ 90°, by angle:
hkl 1 0 0, 10.10 deg, I = 17.3
hkl 1 1 0, 14.31 deg, I = 26.5
hkl 2 0 0, 20.29 deg, I = 18.8
hkl 1 1 1, 24.45 deg, I = 21.2
hkl 2 2 1, 35.19 deg, I = 39.7
hkl 0 0 2, 40.05 deg, I = 56.9
hkl 4 0 0, 41.25 deg, I = 100.0
hkl 4 0 2, 58.85 deg, I = 61.6
hkl 4 4 0, 59.75 deg, I = 28.2
hkl 4 4 2, 74.38 deg, I = 27.6



# 2
Structure and computed powder XRD pattern of Li9Mn2Co5O16 (DFT lattice parameters and positions (PBE+U); Cu Kα, 1.54184 Å).
Intensities are scaled so that the largest is 100.

Structure:
```
data_Li9Mn2Co5O16
_cell_length_a 5.201
_cell_length_b 2.902
_cell_length_c 19.426
_cell_angle_alpha 90.00
_cell_angle_beta 95.83
_cell_angle_gamma 90.00
_symmetry_space_group_name_H-M 'P 1 m 1'
_symmetry_Int_Tables_number 6
loop_
_symmetry_equiv_pos_as_xyz
'x,y,z'
'x,-y,z'
loop_
_atom_site_label
_atom_site_fract_x
_atom_site_fract_y
_atom_site_fract_z
Li1 0.000 0.000 0.000
Li2 0.009 0.500 0.495
Li3 0.131 0.500 0.870
Li4 0.249 0.000 0.739
Li5 0.393 0.500 0.617
Li6 0.502 0.000 0.496
Li7 0.620 0.500 0.378
Li8 0.762 0.000 0.247
Li9 0.879 0.500 0.117
Mn1 0.260 0.500 0.247
Mn2 0.630 0.000 0.871
Co1 0.104 0.000 0.380
Co2 0.384 0.000 0.117
Co3 0.503 0.500 0.998
Co4 0.753 0.500 0.741
Co5 0.913 0.000 0.611
O1 0.041 0.500 0.681
O2 0.094 0.000 0.190
O3 0.186 0.000 0.563
O4 0.197 0.500 0.061
O5 0.303 0.500 0.427
O6 0.351 0.000 0.930
O7 0.429 0.000 0.300
O8 0.465 0.500 0.816
O9 0.537 0.500 0.183
O10 0.580 0.000 0.691
O11 0.681 0.000 0.060
O12 0.715 0.500 0.565
O13 0.801 0.500 0.926
O14 0.828 0.000 0.427
O15 0.908 0.000 0.809
O16 0.988 0.500 0.307
```

Principal peaks in the range 10° ≤ 2θ ≤ 90°, by angle:
hkl 1 0 1, 18.20 deg, I = 100.0
hkl 1 0 -7, 35.26 deg, I = 12.9
hkl 0 1 4, 36.11 deg, I = 27.1
hkl 2 0 -6, 42.54 deg, I = 26.8
hkl 1 1 5, 43.72 deg, I = 54.0
hkl 2 1 -2, 47.30 deg, I = 8.5
hkl 2 1 6, 57.48 deg, I = 9.4
hkl 3 1 -1, 62.40 deg, I = 14.3
hkl 2 0 10, 62.88 deg, I = 20.2
hkl 0 2 0, 64.20 deg, I = 7.3



# 3
Structure and computed powder XRD pattern of Li3Fe2CoO6 (DFT lattice parameters and positions (PBE+U); Cu Kα, 1.54184 Å).
Intensities are scaled so that the largest is 100.

Structure:
```
data_Li3Fe2CoO6
_cell_length_a 5.108
_cell_length_b 5.120
_cell_length_c 9.888
_cell_angle_alpha 94.88
_cell_angle_beta 94.55
_cell_angle_gamma 119.62
_symmetry_space_group_name_H-M 'P -1'
_symmetry_Int_Tables_number 2
loop_
_symmetry_equiv_pos_as_xyz
'x,y,z'
'-x,-y,-z'
loop_
_atom_site_label
_atom_site_fract_x
_atom_site_fract_y
_atom_site_fract_z
Li1 0.086 0.407 0.249
Li2 0.243 0.243 0.748
Li3 0.406 0.085 0.249
Fe1 0.165 0.835 0.500
Fe2 0.331 0.668 0.000
Co1 0.000 0.000 0.000
Co2 0.500 0.500 0.500
O1 0.034 0.699 0.117
O2 0.117 0.117 0.382
O3 0.220 0.541 0.611
O4 0.298 0.966 0.884
O5 0.351 0.351 0.109
O6 0.458 0.781 0.388
```

Principal peaks in the range 10° ≤ 2θ ≤ 90°, by angle:
hkl 0 0 2, 18.19 deg, I = 100.0
hkl 1 1 0, 35.38 deg, I = 14.5
hkl 1 -2 1, 35.62 deg, I = 14.2
hkl -2 1 1, 35.74 deg, I = 13.9
hkl 1 1 -2, 37.19 deg, I = 14.0
hkl 1 1 2, 42.78 deg, I = 26.5
hkl 1 -2 3, 43.18 deg, I = 25.8
hkl -2 1 3, 43.37 deg, I = 25.5
hkl 2 -1 3, 47.08 deg, I = 9.8
hkl 0 3 -1, 62.62 deg, I = 14.1



# 4
Structure and computed powder XRD pattern of Li9Mn2Co5O16 (DFT lattice parameters and positions (PBE+U); Cu Kα, 1.54184 Å).
Intensities are scaled so that the largest is 100.

Structure:
```
data_Li9Mn2Co5O16
_cell_length_a 2.969
_cell_length_b 5.065
_cell_length_c 19.380
_cell_angle_alpha 93.61
_cell_angle_beta 92.79
_cell_angle_gamma 91.32
_symmetry_space_group_name_H-M 'P -1'
_symmetry_Int_Tables_number 2
loop_
_symmetry_equiv_pos_as_xyz
'x,y,z'
'-x,-y,-z'
loop_
_atom_site_label
_atom_site_fract_x
_atom_site_fract_y
_atom_site_fract_z
Li1 0.000 0.000 0.000
Li2 0.046 0.686 0.118
Li3 0.190 0.062 0.376
Li4 0.311 0.436 0.625
Li5 0.440 0.824 0.881
Mn1 0.377 0.126 0.751
Co1 0.123 0.374 0.249
Co2 0.250 0.750 0.500
Co3 0.500 0.500 0.000
O1 0.012 0.358 0.055
O2 0.053 0.029 0.189
O3 0.193 0.720 0.309
O4 0.228 0.415 0.443
O5 0.271 0.084 0.557
O6 0.334 0.783 0.694
O7 0.415 0.472 0.806
O8 0.472 0.201 0.945
```

Principal peaks in the range 10° ≤ 2θ ≤ 90°, by angle:
hkl 0 0 4, 18.37 deg, I = 100.0
hkl 1 -1 1, 35.05 deg, I = 16.2
hkl 1 1 -2, 36.04 deg, I = 13.3
hkl 0 2 1, 36.15 deg, I = 12.8
hkl -1 1 3, 37.36 deg, I = 8.0
hkl 1 -1 5, 42.26 deg, I = 30.3
hkl 1 1 -6, 43.84 deg, I = 26.7
hkl 0 2 5, 44.07 deg, I = 26.0
hkl 2 0 -1, 62.65 deg, I = 15.3
hkl 1 -3 0, 62.73 deg, I = 7.7



# 5
Structure and computed powder XRD pattern of FeOF (DFT lattice parameters and positions (PBE+U); Cu Kα, 1.54184 Å).
Intensities are scaled so that the largest is 100.

Structure:
```
data_FeOF
_cell_length_a 14.282
_cell_length_b 3.095
_cell_length_c 14.399
_cell_angle_alpha 90.00
_cell_angle_beta 90.34
_cell_angle_gamma 90.00
_symmetry_space_group_name_H-M 'P 1 m 1'
_symmetry_Int_Tables_number 6
loop_
_symmetry_equiv_pos_as_xyz
'x,y,z'
'x,-y,z'
loop_
_atom_site_label
_atom_site_fract_x
_atom_site_fract_y
_atom_site_fract_z
Fe1 0.000 0.000 0.000
Fe2 0.001 0.000 0.335
Fe3 0.008 0.000 0.663
Fe4 0.194 0.500 0.167
Fe5 0.195 0.500 0.836
Fe6 0.200 0.500 0.498
Fe7 0.334 0.000 0.670
Fe8 0.336 0.000 0.003
Fe9 0.337 0.000 0.332
Fe10 0.527 0.500 0.835
Fe11 0.529 0.500 0.501
Fe12 0.532 0.500 0.162
Fe13 0.666 0.000 0.333
Fe14 0.668 0.000 0.669
Fe15 0.673 0.000 0.996
Fe16 0.841 0.500 0.855
Fe17 0.860 0.500 0.502
Fe18 0.861 0.500 0.168
O1 0.245 0.000 0.231
O2 0.245 0.000 0.565
O3 0.245 0.000 0.899
O4 0.280 0.500 0.731
O5 0.282 0.500 0.065
O6 0.285 0.500 0.396
O7 0.573 0.000 0.898
O8 0.579 0.000 0.231
O9 0.579 0.000 0.565
O10 0.617 0.500 0.064
O11 0.617 0.500 0.398
O12 0.617 0.500 0.731
O13 0.742 0.500 0.939
O14 0.913 0.000 0.233
O15 0.914 0.000 0.569
O16 0.914 0.000 0.895
O17 0.949 0.500 0.401
O18 0.950 0.500 0.064
F1 0.078 0.500 0.271
F2 0.078 0.500 0.604
F3 0.079 0.500 0.934
F4 0.110 0.000 0.766
F5 0.115 0.000 0.102
F6 0.116 0.000 0.436
F7 0.409 0.500 0.936
F8 0.410 0.500 0.603
F9 0.412 0.500 0.269
F10 0.446 0.000 0.766
F11 0.448 0.000 0.100
F12 0.449 0.000 0.435
F13 0.746 0.500 0.271
F14 0.747 0.500 0.601
F15 0.784 0.000 0.107
F16 0.784 0.000 0.438
F17 0.784 0.000 0.765
F18 0.952 0.500 0.731
```

Principal peaks in the range 10° ≤ 2θ ≤ 90°, by angle:
hkl 3 0 -3, 26.29 deg, I = 95.5
hkl 3 0 3, 26.45 deg, I = 94.3
hkl 0 1 3, 34.52 deg, I = 100.0
hkl 3 1 -3, 39.42 deg, I = 19.4
hkl 3 1 3, 39.53 deg, I = 19.8
hkl 3 1 -6, 51.81 deg, I = 29.3
hkl 3 1 6, 51.99 deg, I = 54.2
hkl 6 1 3, 52.17 deg, I = 25.0
hkl 0 1 9, 65.70 deg, I = 21.9
hkl 3 2 3, 66.44 deg, I = 22.7